# K2HfO3
Theoretical powder XRD pattern, λ = 1.5418 Å (Cu Kα). Input: DFT lattice parameters and positions (PBE).
Lines closer than 0.1° are merged.

Structure:
Lattice parameters (Å, degrees): 5.8798 5.8798 12.4924 90.00 90.00 120.00
Space group P6_3/mcm (No. 193)
Inequivalent atoms, fractional coordinates:
K 0.0000 0.0000 0.0000 [2 per cell]
K 0.0000 0.3137 0.2500 [6 per cell]
Hf 0.3333 0.6667 0.0000 [4 per cell]
O 0.0000 0.4005 0.5935 [12 per cell]

Largest 8 diffraction maxima, by angle, 2θ from 15° to 90°:
- hkl 1 0 0, d 5.092, intensity 26.5
- hkl 1 0 2, d 3.947, intensity 31.2
- hkl 0 0 4, d 3.123, intensity 25.0
- hkl 1 1 0, d 2.940, intensity 26.5
- hkl 1 1 2, d 2.660, intensity 100.0
- hkl 1 1 4, d 2.141, intensity 35.0
- hkl 3 0 0, d 1.698, intensity 49.0
- hkl 3 0 4, d 1.491, intensity 19.8

# K2Hf2O5
Theoretical powder XRD pattern, λ = 1.5418 Å (Cu Kα). Input: DFT lattice parameters and positions (PBE).
Lines closer than 0.1° are merged.

Structure:
Lattice parameters (Å, degrees): 5.863 10.753 8.816 90.00 90.00 90.00
Space group Pnna (No. 52)
Inequivalent atoms, fractional coordinates:
K 0.067 0.167 0.076 [8 per cell]
Hf 0.032 0.076 0.659 [8 per cell]
O 0.004 0.750 0.250 [4 per cell]
O 0.127 0.606 0.950 [8 per cell]
O 0.250 0.000 0.247 [4 per cell]
O 0.250 0.000 0.821 [4 per cell]

Largest 8 diffraction maxima, by angle, 2θ from 15° to 90°:
- hkl 0 2 0, d 5.376, intensity 43.5
- hkl 1 1 1, d 4.445, intensity 42.5
- hkl 1 2 2, d 2.947, intensity 100.0
- hkl 2 0 0, d 2.931, intensity 36.6
- hkl 1 3 1, d 2.889, intensity 75.0
- hkl 0 1 3, d 2.834, intensity 45.4
- hkl 2 1 3, d 2.038, intensity 40.5
- hkl 1 3 5, d 1.528, intensity 28.2